Record 1
The following is a calculated powder diffraction line list of LaTb2Ho6. It was derived from DFT lattice parameters and positions (GGA-PBE), using a wavelength of 1.5418 Å.
No peak broadening, texture or thermal motion is included.

Peak list (10 most intense, 2θ = 10–90°, in order of rising 2θ)
2θ 31.6, I = 88, (0 1 3)
2θ 31.8, I = 100, (2 0 -1)
2θ 41.2, I = 13, (2 1 -1)
2θ 45.4, I = 32, (2 1 2)
2θ 56.5, I = 34, (1 1 7)
2θ 56.6, I = 19, (3 0 3)
2θ 62.8, I = 29, (2 2 -1)
2θ 75.4, I = 12, (4 1 1)
2θ 80.9, I = 14, (3 2 3)
2θ 89.5, I = 11, (4 2 -2)

Crystal structure
Lattice parameters (Å, degrees): 5.634 3.481 14.890 90.00 100.86 90.00
Space group P2/m (No. 10)
Symmetry-distinct sites (fractional):
La 0.000 0.000 0.000 (multiplicity 1)
Tb 0.333 0.000 0.666 (multiplicity 2)
Ho 0.113 0.500 0.226 (multiplicity 2)
Ho 0.223 0.500 0.446 (multiplicity 2)
Ho 0.443 0.500 0.886 (multiplicity 2)

=====

Record 2
The following is a calculated powder diffraction line list of Ta3C5. It was derived from DFT lattice parameters and positions (GGA-PBE), using a wavelength of 1.5418 Å.
No peak broadening, texture or thermal motion is included.

Peak list (10 most intense, 2θ = 10–90°, in order of rising 2θ)
2θ 24.1, I = 35, (1 0 1)
2θ 27.0, I = 36, (2 0 -1)
2θ 31.9, I = 76, (1 1 1)
2θ 33.1, I = 100, (1 1 -2)
2θ 34.2, I = 70, (2 1 -1)
2θ 41.8, I = 41, (0 2 0)
2θ 42.5, I = 38, (0 0 3)
2θ 47.8, I = 21, (3 0 -3)
2θ 53.0, I = 15, (3 0 1)
2θ 65.4, I = 19, (3 2 -3)

Crystal structure
Lattice parameters (Å, degrees): 6.623 4.324 6.991 90.00 114.16 90.00
Space group P2_1/m (No. 11)
Symmetry-distinct sites (fractional):
Ta 0.053 0.250 0.175 (multiplicity 2)
Ta 0.273 0.250 0.767 (multiplicity 2)
Ta 0.323 0.750 0.483 (multiplicity 2)
C 0.045 0.750 0.177 (multiplicity 2)
C 0.162 0.750 0.684 (multiplicity 2)
C 0.334 0.250 0.481 (multiplicity 2)
C 0.429 0.100 0.130 (multiplicity 4)

=====

Record 3
The following is a calculated powder diffraction line list of Ac3La3Co2. It was derived from DFT lattice parameters and positions (GGA-PBE), using a wavelength of 1.5418 Å.
No peak broadening, texture or thermal motion is included.

Peak list (10 most intense, 2θ = 10–90°, in order of rising 2θ)
2θ 25.5, I = 14, (2 2 0)
2θ 26.9, I = 20, (0 0 6)
2θ 28.9, I = 100, (4 -2 3)
2θ 37.4, I = 24, (4 -2 6)
2θ 45.0, I = 24, (6 0 0)
2θ 48.7, I = 22, (2 2 9)
2θ 53.2, I = 19, (6 0 6)
2θ 54.4, I = 17, (4 4 3)
2θ 73.2, I = 13, (10 -8 3)
2θ 74.0, I = 9, (6 0 12)

Crystal structure
Lattice parameters (Å, degrees): 13.9529 13.9529 19.9139 90.00 90.00 120.00
Space group R-3 (No. 148, hexagonal axes)
Symmetry-distinct sites (fractional):
Ac 0.0005 0.1754 0.0862 (multiplicity 18)
Ac 0.0006 0.8328 0.5782 (multiplicity 18)
La 0.0025 0.3383 0.2624 (multiplicity 18)
La 0.0062 0.8448 0.2524 (multiplicity 18)
Co 0.0000 0.0000 0.1743 (multiplicity 6)
Co 0.0169 0.5070 0.3373 (multiplicity 18)

=====

Record 4
The following is a calculated powder diffraction line list of BaYCuAgO5. It was derived from DFT lattice parameters and positions (GGA-PBE), using a wavelength of 1.5418 Å.
No peak broadening, texture or thermal motion is included.

Peak list (10 most intense, 2θ = 10–90°, in order of rising 2θ)
2θ 24.9, I = 6, (1 0 1)
2θ 31.7, I = 100, (1 0 2)
2θ 33.6, I = 6, (0 0 3)
2θ 45.3, I = 5, (0 0 4)
2θ 45.5, I = 21, (2 0 0)
2θ 46.9, I = 4, (1 1 3)
2θ 56.4, I = 39, (2 1 2)
2θ 66.2, I = 7, (2 0 4)
2θ 66.3, I = 6, (2 2 0)
2θ 75.3, I = 11, (3 0 2)

Crystal structure
Lattice parameters (Å, degrees): 3.989 3.989 8.002 90.00 90.00 90.00
Space group P4mm (No. 99)
Symmetry-distinct sites (fractional):
Ba 0.000 0.000 0.000 (multiplicity 1)
Y 0.000 0.000 0.462 (multiplicity 1)
Cu 0.500 0.500 0.244 (multiplicity 1)
Ag 0.500 0.500 0.700 (multiplicity 1)
O 0.000 0.500 0.286 (multiplicity 2)
O 0.000 0.500 0.635 (multiplicity 2)
O 0.500 0.500 0.993 (multiplicity 1)

=====

Record 5
The following is a calculated powder diffraction line list of Ca3Tl5. It was derived from DFT lattice parameters and positions (GGA-PBE), using a wavelength of 1.5418 Å.
No peak broadening, texture or thermal motion is included.

Peak list (10 most intense, 2θ = 10–90°, in order of rising 2θ)
2θ 21.5, I = 19, (2 0 0)
2θ 23.6, I = 19, (0 2 1)
2θ 32.1, I = 100, (2 2 1)
2θ 33.5, I = 22, (0 0 2)
2θ 33.7, I = 25, (0 4 0)
2θ 43.8, I = 11, (4 0 0)
2θ 48.2, I = 19, (0 4 2)
2θ 59.1, I = 18, (2 2 3)
2θ 59.2, I = 19, (2 6 1)
2θ 67.2, I = 11, (4 4 2)

Crystal structure
Lattice parameters (Å, degrees): 8.259 10.650 5.346 90.00 90.00 90.00
Space group Cmmm (No. 65)
Symmetry-distinct sites (fractional):
Ca 0.000 0.000 0.000 (multiplicity 2)
Ca 0.000 0.272 0.500 (multiplicity 4)
Tl 0.000 0.500 0.000 (multiplicity 2)
Tl 0.227 0.000 0.500 (multiplicity 4)
Tl 0.250 0.250 0.000 (multiplicity 4)

=====

Record 6
The following is a calculated powder diffraction line list of Pa3Te6Pt. It was derived from DFT lattice parameters and positions (GGA-PBE), using a wavelength of 1.5418 Å.
No peak broadening, texture or thermal motion is included.

Peak list (10 most intense, 2θ = 10–90°, in order of rising 2θ)
2θ 15.2, I = 100, (1 1 1)
2θ 22.6, I = 30, (2 2 1)
2θ 23.2, I = 29, (1 3 1)
2θ 31.3, I = 26, (2 4 1)
2θ 31.5, I = 29, (3 3 1)
2θ 33.3, I = 81, (3 1 2)
2θ 34.4, I = 56, (0 4 2)
2θ 38.5, I = 53, (3 5 0)
2θ 40.1, I = 25, (5 1 1)
2θ 58.3, I = 24, (6 4 2)

Crystal structure
Lattice parameters (Å, degrees): 11.938 14.424 7.556 90.00 90.00 90.00
Space group Cmc2_1 (No. 36)
Symmetry-distinct sites (fractional):
Pa 0.000 0.112 0.000 (multiplicity 4)
Pa 0.162 0.392 0.084 (multiplicity 8)
Te 0.000 0.258 0.299 (multiplicity 4)
Te 0.000 0.498 0.829 (multiplicity 4)
Te 0.166 0.033 0.289 (multiplicity 8)
Te 0.208 0.218 0.865 (multiplicity 8)
Pt 0.000 0.307 0.864 (multiplicity 4)

=====

Record 7
The following is a calculated powder diffraction line list of NdEr5Tm3. It was derived from DFT lattice parameters and positions (GGA-PBE), using a wavelength of 1.5418 Å.
No peak broadening, texture or thermal motion is included.

Peak list (10 most intense, 2θ = 10–90°, in order of rising 2θ)
2θ 31.2, I = 11, (4 2 1)
2θ 31.8, I = 100, (3 1 2)
2θ 32.3, I = 99, (6 0 0)
2θ 45.9, I = 34, (0 4 2)
2θ 52.8, I = 9, (0 0 4)
2θ 57.2, I = 33, (6 4 2)
2θ 57.5, I = 16, (9 3 0)
2θ 63.2, I = 11, (6 0 4)
2θ 63.2, I = 19, (3 3 4)
2θ 67.5, I = 9, (12 0 0)

Crystal structure
Lattice parameters (Å, degrees): 16.664 9.605 6.937 90.00 90.00 90.00
Space group Cmcm (No. 63)
Symmetry-distinct sites (fractional):
Nd 0.000 0.195 0.250 (multiplicity 4)
Er 0.000 0.141 0.750 (multiplicity 4)
Er 0.154 0.346 0.750 (multiplicity 8)
Er 0.178 0.322 0.250 (multiplicity 8)
Tm 0.000 0.500 0.000 (multiplicity 4)
Tm 0.170 0.000 0.000 (multiplicity 8)

=====

Repeat the fourth record exactly.
The following is a calculated powder diffraction line list of BaYCuAgO5. It was derived from DFT lattice parameters and positions (GGA-PBE), using a wavelength of 1.5418 Å.
No peak broadening, texture or thermal motion is included.

Peak list (10 most intense, 2θ = 10–90°, in order of rising 2θ)
2θ 24.9, I = 6, (1 0 1)
2θ 31.7, I = 100, (1 0 2)
2θ 33.6, I = 6, (0 0 3)
2θ 45.3, I = 5, (0 0 4)
2θ 45.5, I = 21, (2 0 0)
2θ 46.9, I = 4, (1 1 3)
2θ 56.4, I = 39, (2 1 2)
2θ 66.2, I = 7, (2 0 4)
2θ 66.3, I = 6, (2 2 0)
2θ 75.3, I = 11, (3 0 2)

Crystal structure
Lattice parameters (Å, degrees): 3.989 3.989 8.002 90.00 90.00 90.00
Space group P4mm (No. 99)
Symmetry-distinct sites (fractional):
Ba 0.000 0.000 0.000 (multiplicity 1)
Y 0.000 0.000 0.462 (multiplicity 1)
Cu 0.500 0.500 0.244 (multiplicity 1)
Ag 0.500 0.500 0.700 (multiplicity 1)
O 0.000 0.500 0.286 (multiplicity 2)
O 0.000 0.500 0.635 (multiplicity 2)
O 0.500 0.500 0.993 (multiplicity 1)